(1)
The following is a calculated X-ray powder pattern of Dy4FeSn8. It was derived from a PBE-relaxed structure, using copper Kα.
No peak broadening, texture or thermal motion is included.

Cell: 4.4019 4.4538 16.6022 Å, 90.00 90.00 90.00°
Atoms (fractional coordinates):
Dy  0.0000  0.0000  0.0000
Dy  0.0000  0.5000  0.4950
Dy  0.5000  0.0000  0.7931
Dy  0.5000  0.5000  0.2969
Fe  0.0000  0.5000  0.7046
Sn  0.0000  0.0000  0.3336
Sn  0.0000  0.0000  0.6348
Sn  0.0000  0.5000  0.1451
Sn  0.0000  0.5000  0.8531
Sn  0.5000  0.0000  0.1500
Sn  0.5000  0.0000  0.4592
Sn  0.5000  0.5000  0.6349
Sn  0.5000  0.5000  0.9718

Peak list (10 most intense, 5° ≤ 2θ ≤ 70°, in order of rising 2θ)
- d = 2.767 Å, 2θ 32.35, I = 18
- d = 2.725 Å, 2θ 32.87, I = 100
- d = 2.343 Å, 2θ 38.43, I = 9
- d = 2.227 Å, 2θ 40.51, I = 18
- d = 2.201 Å, 2θ 41.01, I = 17
- d = 1.735 Å, 2θ 52.77, I = 9
- d = 1.723 Å, 2θ 53.17, I = 9
- d = 1.565 Å, 2θ 59.01, I = 12
- d = 1.363 Å, 2θ 68.89, I = 21
- d = 1.351 Å, 2θ 69.56, I = 12

(2)
The following is a calculated X-ray powder pattern of LaPb2. It was derived from a PBE-relaxed structure, using copper Kα.
No peak broadening, texture or thermal motion is included.

Cell: 6.3507 6.3507 6.3507 Å, 142.02 142.02 54.79°
Atoms (fractional coordinates):
La  0.0000  0.0000  0.0000
Pb  0.3136  0.3136  0.0000
Pb  0.6864  0.6864  0.0000

Peak list (10 most intense, 5° ≤ 2θ ≤ 70°, in order of rising 2θ)
- d = 5.638 Å, 2θ 15.72, I = 11
- d = 2.922 Å, 2θ 30.59, I = 63
- d = 2.781 Å, 2θ 32.19, I = 100
- d = 2.595 Å, 2θ 34.57, I = 7
- d = 2.066 Å, 2θ 43.81, I = 24
- d = 1.980 Å, 2θ 45.83, I = 8
- d = 1.659 Å, 2θ 55.40, I = 44
- d = 1.581 Å, 2θ 58.38, I = 13
- d = 1.461 Å, 2θ 63.69, I = 8
- d = 1.390 Å, 2θ 67.35, I = 9

(3)
The following is a calculated X-ray powder pattern of Bi4Te3N2. It was derived from a PBE-relaxed structure, using copper Kα.
No peak broadening, texture or thermal motion is included.

Cell: 7.5845 11.3163 11.7135 Å, 90.00 90.00 90.00°
Atoms (fractional coordinates):
Bi  0.0850  0.2500  0.1754
Bi  0.1625  0.0534  0.9032
Bi  0.1625  0.4466  0.9032
Bi  0.2489  0.2500  0.5275
Bi  0.2511  0.7500  0.0275
Bi  0.3375  0.5534  0.4032
Bi  0.3375  0.9466  0.4032
Bi  0.4150  0.7500  0.6754
Bi  0.5850  0.2500  0.3246
Bi  0.6625  0.0534  0.5968
Bi  0.6625  0.4466  0.5968
Bi  0.7489  0.2500  0.9725
Bi  0.7511  0.7500  0.4725
Bi  0.8375  0.5534  0.0968
Bi  0.8375  0.9466  0.0968
Bi  0.9150  0.7500  0.8246
Te  0.0551  0.7500  0.2398
Te  0.1041  0.5592  0.6418
Te  0.1041  0.9408  0.6418
Te  0.3959  0.0592  0.1418
Te  0.3959  0.4408  0.1418
Te  0.4449  0.2500  0.7398
Te  0.5551  0.7500  0.2602
Te  0.6041  0.5592  0.8582
Te  0.6041  0.9408  0.8582
Te  0.8959  0.0592  0.3582
Te  0.8959  0.4408  0.3582
Te  0.9449  0.2500  0.7602
N  0.0465  0.6224  0.9587
N  0.0465  0.8776  0.9587
N  0.4535  0.1224  0.4587
N  0.4535  0.3776  0.4587
N  0.5465  0.6224  0.5413
N  0.5465  0.8776  0.5413
N  0.9535  0.1224  0.0413
N  0.9535  0.3776  0.0413

Peak list (10 most intense, 5° ≤ 2θ ≤ 70°, in order of rising 2θ)
- d = 6.366 Å, 2θ 13.91, I = 27
- d = 3.586 Å, 2θ 24.83, I = 49
- d = 3.319 Å, 2θ 26.86, I = 54
- d = 3.245 Å, 2θ 27.48, I = 93
- d = 3.183 Å, 2θ 28.03, I = 31
- d = 3.042 Å, 2θ 29.36, I = 100
- d = 2.926 Å, 2θ 30.55, I = 73
- d = 2.829 Å, 2θ 31.63, I = 27
- d = 2.719 Å, 2θ 32.94, I = 49
- d = 2.601 Å, 2θ 34.48, I = 47

(4)
The following is a calculated X-ray powder pattern of VSi7N10. It was derived from a PBE-relaxed structure, using copper Kα.
No peak broadening, texture or thermal motion is included.

Cell: 6.7412 6.9018 9.7197 Å, 90.00 105.43 90.00°
Atoms (fractional coordinates):
V  0.0000  0.0823  0.0000
V  0.0000  0.9177  0.5000
Si  0.1156  0.3985  0.8707
Si  0.1156  0.6015  0.3707
Si  0.3006  0.3818  0.1790
Si  0.3006  0.6182  0.6790
Si  0.3533  0.0222  0.8163
Si  0.3533  0.9778  0.3163
Si  0.4879  0.3673  0.4836
Si  0.4879  0.6327  0.9836
Si  0.5421  0.0209  0.1200
Si  0.5421  0.9791  0.6200
Si  0.6631  0.3603  0.7886
Si  0.6631  0.6397  0.2886
Si  0.8468  0.3814  0.1085
Si  0.8468  0.6186  0.6085
N  0.0803  0.4317  0.2328
N  0.0803  0.5683  0.7328
N  0.1595  0.1607  0.8405
N  0.1595  0.8393  0.3405
N  0.2912  0.4965  0.0203
N  0.2912  0.5035  0.5203
N  0.3108  0.1292  0.1588
N  0.3108  0.8708  0.6588
N  0.4493  0.1209  0.4670
N  0.4493  0.8791  0.9670
N  0.5029  0.4590  0.3197
N  0.5029  0.5410  0.8197
N  0.5592  0.1329  0.7669
N  0.5592  0.8671  0.2669
N  0.7037  0.4150  0.6228
N  0.7037  0.5850  0.1228
N  0.7467  0.1571  0.1124
N  0.7467  0.8429  0.6124
N  0.8891  0.3698  0.9306
N  0.8891  0.6302  0.4306

Peak list (10 most intense, 5° ≤ 2θ ≤ 70°, in order of rising 2θ)
- d = 5.557 Å, 2θ 15.95, I = 76
- d = 4.597 Å, 2θ 19.31, I = 100
- d = 3.451 Å, 2θ 25.82, I = 34
- d = 3.396 Å, 2θ 26.24, I = 29
- d = 3.047 Å, 2θ 29.31, I = 32
- d = 3.017 Å, 2θ 29.61, I = 42
- d = 2.845 Å, 2θ 31.44, I = 25
- d = 2.813 Å, 2θ 31.81, I = 38
- d = 2.404 Å, 2θ 37.41, I = 49
- d = 2.282 Å, 2θ 39.48, I = 31

(5)
The following is a calculated X-ray powder pattern of K2Te2As. It was derived from a PBE-relaxed structure, using copper Kα.
No peak broadening, texture or thermal motion is included.

Cell: 20.4937 8.3675 9.2228 Å, 90.00 90.00 90.00°
Atoms (fractional coordinates):
K  0.0434  0.2500  0.0804
K  0.0574  0.7500  0.4252
K  0.1882  0.2500  0.4985
K  0.2164  0.2500  0.8962
K  0.2836  0.7500  0.3962
K  0.3118  0.7500  0.9985
K  0.4426  0.2500  0.9252
K  0.4566  0.7500  0.5804
K  0.5434  0.2500  0.4196
K  0.5574  0.7500  0.0748
K  0.6882  0.2500  0.0015
K  0.7164  0.2500  0.6038
K  0.7836  0.7500  0.1038
K  0.8118  0.7500  0.5015
K  0.9426  0.2500  0.5748
K  0.9566  0.7500  0.9196
Te  0.0820  0.0033  0.7390
Te  0.0820  0.4967  0.7390
Te  0.1791  0.5080  0.1809
Te  0.1791  0.9920  0.1809
Te  0.3209  0.0080  0.6809
Te  0.3209  0.4920  0.6809
Te  0.4180  0.5033  0.2390
Te  0.4180  0.9967  0.2390
Te  0.5820  0.0033  0.7610
Te  0.5820  0.4967  0.7610
Te  0.6791  0.5080  0.3191
Te  0.6791  0.9920  0.3191
Te  0.8209  0.0080  0.8191
Te  0.8209  0.4920  0.8191
Te  0.9180  0.5033  0.2610
Te  0.9180  0.9967  0.2610
As  0.1132  0.7500  0.0730
As  0.1510  0.7500  0.8125
As  0.3490  0.2500  0.3125
As  0.3868  0.2500  0.5730
As  0.6132  0.7500  0.4270
As  0.6510  0.7500  0.6875
As  0.8490  0.2500  0.1875
As  0.8868  0.2500  0.9270

Peak list (10 most intense, 5° ≤ 2θ ≤ 70°, in order of rising 2θ)
- d = 5.123 Å, 2θ 17.31, I = 16
- d = 4.611 Å, 2θ 19.25, I = 19
- d = 4.482 Å, 2θ 19.81, I = 47
- d = 3.422 Å, 2θ 26.04, I = 16
- d = 3.099 Å, 2θ 28.81, I = 36
- d = 3.058 Å, 2θ 29.20, I = 100
- d = 2.803 Å, 2θ 31.92, I = 13
- d = 2.636 Å, 2θ 34.01, I = 14
- d = 2.127 Å, 2θ 42.51, I = 17
- d = 2.092 Å, 2θ 43.25, I = 15